Simulated powder diffraction line list of ThV2PbO8 for CuKα, from a structure optimized by DFT (GGA+U).

Peak list (10 most intense, 2θ from 10° to 80°, by intensity)
(1 0 0), d = 5.090 Å, I 100; (1 0 2), d = 2.957 Å, I 76; (1 1 0), d = 2.939 Å, I 54; (0 2 2), d = 2.085 Å, I 37; (1 1 2), d = 2.285 Å, I 31; (2 1 2), d = 1.700 Å, I 31; (2 1 0), d = 1.924 Å, I 17; (0 1 1), d = 4.169 Å, I 15; (1 3 2), d = 1.316 Å, I 14; (1 1 4), d = 1.545 Å, I 14

Cell lengths 5.878, 5.878, 7.266 Å; angles 90.00, 90.00, 120.00 degrees
Sites, in units of the cell vectors:
1 Th 0.000 0.000 0.000
2 V 0.333 0.667 0.291
3 V 0.667 0.333 0.709
4 Pb 0.000 0.000 0.500
5 O 0.168 0.336 0.213
6 O 0.168 0.832 0.213
7 O 0.333 0.667 0.519
8 O 0.336 0.168 0.787
9 O 0.664 0.832 0.213
10 O 0.667 0.333 0.481
11 O 0.832 0.168 0.787
12 O 0.832 0.664 0.787